Structure and calculated powder diffraction line list of PtN4Cl4 (DFT lattice parameters and positions (GGA-PBE); Cu Kα, 1.54184 Å).

Peak list (10 most intense, 2θ = 10–90°, in order of rising 2θ)
Position (°2θ)	I/Imax
17.57	100
19.05	35
20.92	32
29.75	30
32.46	26
34.76	32
42.57	20
44.60	19
49.53	14
58.85	14

```
9
Lattice="-3.003 3.003 4.658 3.003 -3.003 4.658 3.003 3.003 -4.658" Properties=species:S:1:pos:R:3 pbc="T T T"
Pt 0.000 0.000 0.000
N 1.383 1.383 0.000
N 1.620 -1.620 4.658
N -1.620 1.620 4.658
N 1.620 1.620 4.658
Cl 3.003 0.000 0.000
Cl 0.000 0.000 2.399
Cl 0.000 3.003 0.000
Cl 0.000 0.000 6.917
```